Record 1
Structure and simulated powder X-ray diffraction pattern of PrDyMg (a PBE-relaxed structure; CuKα).
Kinematic intensities with the Lorentz-polarization factor, no thermal factor.

Structure:
Unit cell a=3.760 b=3.760 c=12.957 alpha=90.00 beta=90.00 gamma=90.00
Positions (direct):
Pr  0.000  0.000  0.000
Pr  0.500  0.500  0.500
Dy  0.000  0.000  0.314
Dy  0.500  0.500  0.814
Mg  0.000  0.000  0.664
Mg  0.500  0.500  0.164

Largest 6 diffraction maxima, by angle, 10 to 90 degrees two-theta:
- 24.7 deg, I = 36
- 31.5 deg, I = 100
- 33.7 deg, I = 43
- 48.4 deg, I = 16
- 54.8 deg, I = 19
- 58.9 deg, I = 34

=====

Record 2
Structure and simulated powder X-ray diffraction pattern of Pr5DyMg6 (a PBE-relaxed structure; CuKα).
Kinematic intensities with the Lorentz-polarization factor, no thermal factor.

Structure:
Unit cell a=8.700 b=8.700 c=7.798 alpha=90.00 beta=90.00 gamma=143.16
Positions (direct):
Pr  0.000  0.000  0.000
Pr  0.332  0.668  0.000
Pr  0.335  0.665  0.500
Pr  0.665  0.335  0.500
Pr  0.668  0.332  0.000
Dy  0.000  0.000  0.500
Mg  0.165  0.835  0.255
Mg  0.165  0.835  0.745
Mg  0.500  0.500  0.254
Mg  0.500  0.500  0.746
Mg  0.835  0.165  0.255
Mg  0.835  0.165  0.745

Largest 6 diffraction maxima, by angle, 10 to 90 degrees two-theta:
- 22.8 deg, I = 59
- 32.5 deg, I = 100
- 40.1 deg, I = 18
- 52.6 deg, I = 21
- 58.0 deg, I = 25
- 58.1 deg, I = 13

=====

Record 3
Structure and simulated powder X-ray diffraction pattern of Pr5Dy2Mg (a PBE-relaxed structure; CuKα).
Kinematic intensities with the Lorentz-polarization factor, no thermal factor.

Structure:
Unit cell a=7.326 b=11.576 c=7.320 alpha=90.00 beta=119.99 gamma=90.00
Positions (direct):
Pr  0.000  0.000  0.000
Pr  0.000  0.000  0.480
Pr  0.022  0.500  0.001
Pr  0.342  0.250  0.662
Pr  0.342  0.750  0.662
Pr  0.500  0.500  0.000
Pr  0.500  0.500  0.480
Pr  0.522  0.000  0.001
Pr  0.842  0.250  0.662
Pr  0.842  0.750  0.662
Dy  0.345  0.242  0.168
Dy  0.345  0.758  0.168
Dy  0.845  0.258  0.168
Dy  0.845  0.742  0.168
Mg  0.007  0.500  0.492
Mg  0.507  0.000  0.492

Largest 6 diffraction maxima, by angle, 10 to 90 degrees two-theta:
- 28.1 deg, I = 25
- 30.9 deg, I = 25
- 32.2 deg, I = 100
- 49.8 deg, I = 19
- 55.8 deg, I = 20
- 59.8 deg, I = 22

=====

Record 4
Structure and simulated powder X-ray diffraction pattern of Pr4Dy2Mg (a PBE-relaxed structure; CuKα).
Kinematic intensities with the Lorentz-polarization factor, no thermal factor.

Structure:
Unit cell a=20.910 b=3.633 c=12.267 alpha=90.00 beta=90.00 gamma=90.00
Positions (direct):
Pr  0.002  0.250  0.123
Pr  0.092  0.750  0.321
Pr  0.196  0.250  0.505
Pr  0.235  0.250  0.229
Pr  0.265  0.750  0.729
Pr  0.304  0.750  0.005
Pr  0.408  0.250  0.821
Pr  0.498  0.750  0.623
Pr  0.502  0.250  0.377
Pr  0.592  0.750  0.179
Pr  0.696  0.250  0.995
Pr  0.735  0.250  0.271
Pr  0.765  0.750  0.771
Pr  0.804  0.750  0.495
Pr  0.908  0.250  0.679
Pr  0.998  0.750  0.877
Dy  0.051  0.750  0.598
Dy  0.140  0.750  0.028
Dy  0.360  0.250  0.528
Dy  0.449  0.250  0.098
Dy  0.551  0.750  0.902
Dy  0.640  0.750  0.472
Dy  0.860  0.250  0.972
Dy  0.949  0.250  0.402
Mg  0.131  0.250  0.792
Mg  0.369  0.750  0.292
Mg  0.631  0.250  0.708
Mg  0.869  0.750  0.208

Largest 6 diffraction maxima, by angle, 10 to 90 degrees two-theta:
- 30.4 deg, I = 51
- 30.6 deg, I = 36
- 30.8 deg, I = 100
- 33.3 deg, I = 54
- 33.5 deg, I = 32
- 34.1 deg, I = 44

=====

Record 5
Structure and simulated powder X-ray diffraction pattern of Pr4Dy3Mg (a PBE-relaxed structure; CuKα).
Kinematic intensities with the Lorentz-polarization factor, no thermal factor.

Structure:
Unit cell a=3.667 b=3.667 c=19.625 alpha=90.00 beta=90.00 gamma=90.00
Positions (direct):
Pr  0.000  0.000  0.114
Pr  0.000  0.000  0.372
Pr  0.000  0.000  0.628
Pr  0.000  0.000  0.886
Dy  0.500  0.500  0.242
Dy  0.500  0.500  0.500
Dy  0.500  0.500  0.758
Mg  0.500  0.500  0.000

Largest 6 diffraction maxima, by angle, 10 to 90 degrees two-theta:
- 30.4 deg, I = 100
- 34.6 deg, I = 37
- 36.6 deg, I = 14
- 49.7 deg, I = 13
- 51.3 deg, I = 21
- 59.4 deg, I = 30

=====

Record 6
Structure and simulated powder X-ray diffraction pattern of PrDy2Mg6 (a PBE-relaxed structure; CuKα).
Kinematic intensities with the Lorentz-polarization factor, no thermal factor.

Structure:
Unit cell a=9.129 b=9.129 c=3.321 alpha=90.00 beta=90.00 gamma=120.00
Positions (direct):
Pr  0.000  0.000  0.000
Dy  0.333  0.667  0.000
Dy  0.667  0.333  0.000
Mg  0.000  0.337  0.500
Mg  0.000  0.663  0.500
Mg  0.337  0.000  0.500
Mg  0.337  0.337  0.500
Mg  0.663  0.000  0.500
Mg  0.663  0.663  0.500

Largest 6 diffraction maxima, by angle, 10 to 90 degrees two-theta:
- 19.4 deg, I = 96
- 33.4 deg, I = 100
- 34.0 deg, I = 62
- 48.4 deg, I = 35
- 60.5 deg, I = 36
- 66.6 deg, I = 17

=====

Record 7
Structure and simulated powder X-ray diffraction pattern of Pr12Dy3Mg (a PBE-relaxed structure; CuKα).
Kinematic intensities with the Lorentz-polarization factor, no thermal factor.

Structure:
Unit cell a=5.158 b=5.158 c=20.731 alpha=90.00 beta=90.00 gamma=90.00
Positions (direct):
Pr  0.000  0.000  0.000
Pr  0.000  0.000  0.247
Pr  0.000  0.000  0.500
Pr  0.000  0.000  0.753
Pr  0.000  0.500  0.123
Pr  0.000  0.500  0.374
Pr  0.000  0.500  0.626
Pr  0.000  0.500  0.877
Pr  0.500  0.000  0.123
Pr  0.500  0.000  0.374
Pr  0.500  0.000  0.626
Pr  0.500  0.000  0.877
Dy  0.500  0.500  0.248
Dy  0.500  0.500  0.500
Dy  0.500  0.500  0.752
Mg  0.500  0.500  0.000

Largest 6 diffraction maxima, by angle, 10 to 90 degrees two-theta:
- 30.0 deg, I = 100
- 34.6 deg, I = 17
- 34.8 deg, I = 34
- 49.9 deg, I = 24
- 59.2 deg, I = 14
- 59.4 deg, I = 29

=====

Record 8
Structure and simulated powder X-ray diffraction pattern of Pr3DyMg2 (a PBE-relaxed structure; CuKα).
Kinematic intensities with the Lorentz-polarization factor, no thermal factor.

Structure:
Unit cell a=3.828 b=3.828 c=12.857 alpha=90.00 beta=90.00 gamma=90.00
Positions (direct):
Pr  0.000  0.000  0.000
Pr  0.000  0.000  0.311
Pr  0.000  0.000  0.689
Dy  0.500  0.500  0.500
Mg  0.500  0.500  0.155
Mg  0.500  0.500  0.845

Largest 6 diffraction maxima, by angle, 10 to 90 degrees two-theta:
- 27.1 deg, I = 16
- 31.3 deg, I = 100
- 33.1 deg, I = 47
- 47.5 deg, I = 17
- 54.6 deg, I = 16
- 58.0 deg, I = 34

=====

Record 9
Structure and simulated powder X-ray diffraction pattern of Pr3DyMg6 (a PBE-relaxed structure; CuKα).
Kinematic intensities with the Lorentz-polarization factor, no thermal factor.

Structure:
Unit cell a=9.490 b=5.348 c=11.442 alpha=90.00 beta=105.20 gamma=90.00
Positions (direct):
Pr  0.037  0.250  0.395
Pr  0.150  0.750  0.212
Pr  0.256  0.250  0.006
Pr  0.744  0.750  0.994
Pr  0.850  0.250  0.788
Pr  0.963  0.750  0.605
Dy  0.451  0.250  0.601
Dy  0.549  0.750  0.399
Mg  0.061  0.750  0.904
Mg  0.171  0.250  0.708
Mg  0.266  0.750  0.517
Mg  0.355  0.750  0.810
Mg  0.366  0.250  0.306
Mg  0.455  0.750  0.105
Mg  0.545  0.250  0.895
Mg  0.634  0.750  0.694
Mg  0.645  0.250  0.190
Mg  0.734  0.250  0.483
Mg  0.829  0.750  0.292
Mg  0.939  0.250  0.096

Largest 6 diffraction maxima, by angle, 10 to 90 degrees two-theta:
- 22.9 deg, I = 53
- 23.4 deg, I = 100
- 32.9 deg, I = 99
- 33.1 deg, I = 98
- 33.2 deg, I = 48
- 33.5 deg, I = 48

=====

Record 10
Structure and simulated powder X-ray diffraction pattern of PrDyMgRu (a PBE-relaxed structure; CuKα).
Kinematic intensities with the Lorentz-polarization factor, no thermal factor.

Structure:
Unit cell a=3.452 b=3.452 c=8.639 alpha=90.00 beta=90.00 gamma=90.00
Positions (direct):
Pr  0.000  0.000  0.000
Dy  0.000  0.000  0.605
Mg  0.500  0.500  0.312
Ru  0.500  0.500  0.790

Largest 6 diffraction maxima, by angle, 10 to 90 degrees two-theta:
- 10.2 deg, I = 91
- 33.2 deg, I = 100
- 36.8 deg, I = 52
- 40.8 deg, I = 46
- 53.0 deg, I = 25
- 64.1 deg, I = 30

=====

Record 11
Structure and simulated powder X-ray diffraction pattern of Pr2Sm4Dy2Mg (a PBE-relaxed structure; CuKα).
Kinematic intensities with the Lorentz-polarization factor, no thermal factor.

Structure:
Unit cell a=6.696 b=6.919 c=7.808 alpha=87.13 beta=72.54 gamma=63.23
Positions (direct):
Pr  0.030  0.170  0.319
Pr  0.970  0.830  0.681
Sm  0.035  0.660  0.149
Sm  0.498  0.374  0.720
Sm  0.502  0.626  0.280
Sm  0.965  0.340  0.851
Dy  0.407  0.861  0.897
Dy  0.593  0.139  0.103
Mg  0.500  0.000  0.500

Largest 6 diffraction maxima, by angle, 10 to 90 degrees two-theta:
- 30.4 deg, I = 43
- 30.7 deg, I = 48
- 31.3 deg, I = 52
- 31.5 deg, I = 54
- 31.6 deg, I = 100
- 32.6 deg, I = 54

=====

Record 12
Structure and simulated powder X-ray diffraction pattern of PrSmDyMg (a PBE-relaxed structure; CuKα).
Kinematic intensities with the Lorentz-polarization factor, no thermal factor.

Structure:
Unit cell a=3.696 b=3.696 c=9.142 alpha=90.00 beta=90.00 gamma=90.00
Positions (direct):
Pr  0.000  0.000  0.000
Sm  0.500  0.500  0.722
Dy  0.500  0.500  0.271
Mg  0.000  0.000  0.491

Largest 6 diffraction maxima, by angle, 10 to 90 degrees two-theta:
- 26.0 deg, I = 20
- 31.1 deg, I = 100
- 34.3 deg, I = 41
- 49.3 deg, I = 15
- 53.2 deg, I = 18
- 59.5 deg, I = 32